Calculated powder diffractogram
Compound: YThCo2
Radiation: Cu Kα (weighted mean of Kα1 and Kα2)
Structure: a cell relaxed with PBE

Cell and atoms:
```
YThCo2
1.0
5.409 0.000 0.000
0.000 5.481 0.000
-2.732 0.000 10.877
Y Th Co
4 4 8
Direct
0.194 0.125 0.142 Y
0.194 0.875 0.642 Y
0.806 0.125 0.358 Y
0.806 0.875 0.858 Y
0.303 0.374 0.864 Th
0.303 0.626 0.364 Th
0.697 0.374 0.636 Th
0.697 0.626 0.136 Th
0.162 0.375 0.583 Co
0.162 0.625 0.083 Co
0.340 0.126 0.429 Co
0.340 0.874 0.929 Co
0.660 0.126 0.071 Co
0.660 0.874 0.571 Co
0.838 0.375 0.917 Co
0.838 0.625 0.417 Co
```

Most intense lines, 2θ = 5–70°, by angle:
2θ (°), intensity
31.0, 92.9
32.9, 70.0
33.7, 100.0
34.2, 96.4
41.3, 52.4
47.2, 84.2